[1]
For CrFe3Co2, a PBE-relaxed structure gives the theoretical XRD peak list in this record (λ = 1.5418 Å (Cu Kα)).

Peak list (6 most intense, 2θ from 10° to 90°, most intense first)
2θ 44.69, I 1000; 2θ 44.89, I 503; 2θ 45.29, I 442; 2θ 42.09, I 345; 2θ 49.25, I 320; 2θ 42.41, I 243

Structural model:
```
data_CrFe3Co2
_chemical_formula_sum 'Cr4 Fe12 Co8'
_cell_length_a 7.4015
_cell_length_b 7.4015
_cell_length_c 7.4015
_cell_angle_alpha 119.53
_cell_angle_beta 119.53
_cell_angle_gamma 90.82
_space_group_name_H-M_alt 'P 1'
_space_group_IT_number 1
loop_
_space_group_symop_operation_xyz
'x,y,z'
loop_
_atom_site_label
_atom_site_type_symbol
_atom_site_fract_x
_atom_site_fract_y
_atom_site_fract_z
Cr1 Cr 0.0576 0.3076 0.7500
Cr2 Cr 0.3076 0.0576 0.2500
Cr3 Cr 0.6924 0.9424 0.7500
Cr4 Cr 0.9424 0.6924 0.2500
Fe1 Fe 0.0000 0.5000 0.5000
Fe2 Fe 0.0642 0.3142 0.1284
Fe3 Fe 0.0642 0.9358 0.7500
Fe4 Fe 0.3142 0.0642 0.6284
Fe5 Fe 0.3142 0.6858 0.2500
Fe6 Fe 0.5000 0.0000 0.0000
Fe7 Fe 0.5000 0.5000 0.0000
Fe8 Fe 0.5000 0.5000 0.5000
Fe9 Fe 0.6858 0.3142 0.7500
Fe10 Fe 0.6858 0.9358 0.3716
Fe11 Fe 0.9358 0.0642 0.2500
Fe12 Fe 0.9358 0.6858 0.8716
Co1 Co 0.2867 0.3635 0.5768
Co2 Co 0.2867 0.7099 0.9232
Co3 Co 0.2901 0.7133 0.5768
Co4 Co 0.3635 0.2867 0.0768
Co5 Co 0.6365 0.7133 0.9232
Co6 Co 0.7099 0.2867 0.4232
Co7 Co 0.7133 0.2901 0.0768
Co8 Co 0.7133 0.6365 0.4232
```

---

[2]
For CePdPt4, a PBE-relaxed structure gives the theoretical XRD peak list in this record (λ = 1.5418 Å (Cu Kα)).

Peak list (6 most intense, 2θ from 10° to 90°, most intense first)
2θ 39.50, I 1000; 2θ 41.34, I 555; 2θ 63.93, I 327; 2θ 70.39, I 305; 2θ 20.33, I 243; 2θ 85.04, I 219

Structural model:
```
data_CePdPt4
_chemical_formula_sum 'Ce1 Pd1 Pt4'
_cell_length_a 5.3503
_cell_length_b 5.3503
_cell_length_c 5.3503
_cell_angle_alpha 60.00
_cell_angle_beta 60.00
_cell_angle_gamma 60.00
_space_group_name_H-M_alt 'P 1'
_space_group_IT_number 1
loop_
_space_group_symop_operation_xyz
'x,y,z'
loop_
_atom_site_label
_atom_site_type_symbol
_atom_site_fract_x
_atom_site_fract_y
_atom_site_fract_z
Ce1 Ce 0.0000 0.0000 0.0000
Pd1 Pd 0.7500 0.7500 0.7500
Pt1 Pt 0.3754 0.3754 0.3754
Pt2 Pt 0.3754 0.3754 0.8738
Pt3 Pt 0.3754 0.8738 0.3754
Pt4 Pt 0.8738 0.3754 0.3754
```

---

[3]
For LaMg2CdAu2, a PBE-relaxed structure gives the theoretical XRD peak list in this record (λ = 1.5418 Å (Cu Kα)).

Peak list (6 most intense, 2θ from 10° to 90°, most intense first)
2θ 33.62, I 1000; 2θ 25.15, I 901; 2θ 38.00, I 820; 2θ 51.63, I 295; 2θ 65.87, I 282; 2θ 66.32, I 253

Structural model:
```
data_LaMg2CdAu2
_chemical_formula_sum 'La1 Mg2 Cd1 Au2'
_cell_length_a 4.7360
_cell_length_b 4.7360
_cell_length_c 7.0158
_cell_angle_alpha 90.00
_cell_angle_beta 90.00
_cell_angle_gamma 120.00
_space_group_name_H-M_alt 'P 1'
_space_group_IT_number 1
loop_
_space_group_symop_operation_xyz
'x,y,z'
loop_
_atom_site_label
_atom_site_type_symbol
_atom_site_fract_x
_atom_site_fract_y
_atom_site_fract_z
La1 La 0.0000 0.0000 0.0000
Mg1 Mg 0.3333 0.6667 0.6676
Mg2 Mg 0.6667 0.3333 0.3324
Cd1 Cd 0.0000 0.0000 0.5000
Au1 Au 0.3333 0.6667 0.2546
Au2 Au 0.6667 0.3333 0.7454
```

---

[4]
For PmAg3Hg, a PBE-relaxed structure gives the theoretical XRD peak list in this record (λ = 1.5418 Å (Cu Kα)).

Peak list (6 most intense, 2θ from 10° to 90°, most intense first)
2θ 33.75, I 1000; 2θ 38.49, I 386; 2θ 34.04, I 360; 2θ 39.57, I 274; 2θ 43.33, I 267; 2θ 36.26, I 209

Structural model:
```
data_PmAg3Hg
_chemical_formula_sum 'Pm2 Ag6 Hg2'
_cell_length_a 14.5299
_cell_length_b 14.5299
_cell_length_c 3.4277
_cell_angle_alpha 90.00
_cell_angle_beta 90.00
_cell_angle_gamma 161.47
_space_group_name_H-M_alt 'P 1'
_space_group_IT_number 1
loop_
_space_group_symop_operation_xyz
'x,y,z'
loop_
_atom_site_label
_atom_site_type_symbol
_atom_site_fract_x
_atom_site_fract_y
_atom_site_fract_z
Pm1 Pm 0.1762 0.8238 0.0000
Pm2 Pm 0.8238 0.1762 0.0000
Ag1 Ag 0.0579 0.9421 0.5000
Ag2 Ag 0.2749 0.7251 0.5000
Ag3 Ag 0.4536 0.5464 0.0000
Ag4 Ag 0.5464 0.4536 0.0000
Ag5 Ag 0.7251 0.2749 0.5000
Ag6 Ag 0.9421 0.0579 0.5000
Hg1 Hg 0.3754 0.6246 0.5000
Hg2 Hg 0.6246 0.3754 0.5000
```